For SmCo2GeB, the PBE geometry in OQMD gives the simulated PXRD pattern in this record (Cu Kα X-rays).
Kinematic intensities with the Lorentz-polarization factor, no thermal factor.

Peak list (12 most intense, 2θ = 10–80°, in order of rising 2θ)
index, d_spacing, Rel. int.
1 0 1, 3.515, 47
1 1 0, 2.647, 11
0 0 4, 2.551, 13
1 0 3, 2.518, 84
1 1 2, 2.350, 100
2 0 0, 1.872, 42
1 0 5, 1.792, 20
2 1 1, 1.652, 11
2 1 3, 1.502, 33
1 1 6, 1.431, 19
2 2 0, 1.324, 13
2 1 5, 1.294, 14

Crystal structure
Cell: 3.744 3.744 10.204 Å, 90.00 90.00 90.00°
Space group I4mm (No. 107)
Symmetry-distinct sites (fractional):
Sm  0.000  0.000  0.000 (multiplicity 2)
Co  0.000  0.500  0.277 (multiplicity 4)
Ge  0.000  0.000  0.641 (multiplicity 2)
B  0.000  0.000  0.356 (multiplicity 2)